1.
NdTmF6: simulated X-ray diffraction stick pattern (λ = 1.5418 Å (Cu Kα)), based on a cell relaxed with GGA-PBE.

Top 12 peaks for 2θ from 5° to 70°, in order of rising 2θ:
19.29 deg, I = 100; 27.43 deg, I = 5; 33.75 deg, I = 53; 36.53 deg, I = 3; 39.15 deg, I = 12; 44.01 deg, I = 28; 48.47 deg, I = 19; 52.62 deg, I = 11; 54.64 deg, I = 1; 56.62 deg, I = 3; 60.36 deg, I = 33; 67.54 deg, I = 8

Atomic structure:
```
NdTmF6
1.0
5.314 0.000 0.000
-2.657 4.602 0.000
0.000 0.000 6.502
Nd Tm F
1 1 6
direct
0.000 0.000 0.000 Nd
0.000 0.000 0.500 Tm
0.000 0.292 0.735 F
0.000 0.708 0.265 F
0.292 0.000 0.735 F
0.292 0.292 0.265 F
0.708 0.000 0.265 F
0.708 0.708 0.735 F
```

***

2.
LaH4Pt: simulated X-ray diffraction stick pattern (λ = 1.5418 Å (Cu Kα)), based on a cell relaxed with GGA-PBE.

Top 12 peaks for 2θ from 5° to 70°, in order of rising 2θ:
26.39 deg, I = 58; 28.24 deg, I = 100; 38.58 deg, I = 21; 39.04 deg, I = 85; 42.09 deg, I = 18; 47.35 deg, I = 25; 50.37 deg, I = 20; 58.41 deg, I = 13; 62.35 deg, I = 22; 63.61 deg, I = 10; 65.19 deg, I = 19; 68.60 deg, I = 16

Atomic structure:
```
LaH4Pt
1.0
-2.147 2.334 3.377
2.147 -2.334 3.377
2.147 2.334 -3.377
La H Pt
1 4 1
direct
0.000 0.000 0.000 La
0.066 0.331 0.735 H
0.404 0.669 0.735 H
0.596 0.331 0.265 H
0.934 0.669 0.265 H
0.500 0.500 0.000 Pt
```

***

Please write out number 2 again, unchanged.
LaH4Pt: simulated X-ray diffraction stick pattern (λ = 1.5418 Å (Cu Kα)), based on a cell relaxed with GGA-PBE.

Top 12 peaks for 2θ from 5° to 70°, in order of rising 2θ:
26.39 deg, I = 58; 28.24 deg, I = 100; 38.58 deg, I = 21; 39.04 deg, I = 85; 42.09 deg, I = 18; 47.35 deg, I = 25; 50.37 deg, I = 20; 58.41 deg, I = 13; 62.35 deg, I = 22; 63.61 deg, I = 10; 65.19 deg, I = 19; 68.60 deg, I = 16

Atomic structure:
```
LaH4Pt
1.0
-2.147 2.334 3.377
2.147 -2.334 3.377
2.147 2.334 -3.377
La H Pt
1 4 1
direct
0.000 0.000 0.000 La
0.066 0.331 0.735 H
0.404 0.669 0.735 H
0.596 0.331 0.265 H
0.934 0.669 0.265 H
0.500 0.500 0.000 Pt
```